Computed X-ray powder pattern
Compound: Y6OsI10
Radiation: Cu Kα, 1.54184 Å
Structure: a cell relaxed with GGA-PBE
Kinematic intensities with the Lorentz-polarization factor, no thermal factor.

Structural model:
abc: 7.7634 9.7433 9.7788
angles: 106.97 96.76 104.53
Atoms (fractional coordinates):
Y: 0.0314 0.2196 0.4177
Y: 0.1145 0.5426 0.2613
Y: 0.3515 0.6254 0.6678
Y: 0.6485 0.3746 0.3322
Y: 0.8855 0.4574 0.7387
Y: 0.9686 0.7804 0.5823
Os: 0.0000 0.5000 0.5000
I: 0.0863 0.8708 0.3201
I: 0.2178 0.2432 0.1545
I: 0.2563 0.5866 0.9601
I: 0.3486 0.9493 0.7715
I: 0.4549 0.3159 0.5922
I: 0.5451 0.6841 0.4078
I: 0.6514 0.0507 0.2285
I: 0.7437 0.4134 0.0399
I: 0.7822 0.7568 0.8455
I: 0.9137 0.1292 0.6799

Peak list (8 most intense, 2θ from 5° to 70°, sorted by position)
- d 9.152, I 20
- d 8.889, I 19
- d 3.624, I 18
- d 3.607, I 33
- d 3.192, I 53
- d 3.089, I 100
- d 2.221, I 19
- d 2.211, I 19

=====

Computed X-ray powder pattern
Compound: Mn3CrP4
Radiation: Cu Kα, 1.54184 Å
Structure: a cell relaxed with GGA-PBE
Kinematic intensities with the Lorentz-polarization factor, no thermal factor.

Structural model:
abc: 5.2554 3.1268 5.9092
angles: 90.00 90.14 90.00
Atoms (fractional coordinates):
Mn: 0.0000 0.0000 0.0000
Mn: 0.0096 0.5000 0.6074
Mn: 0.5001 0.0000 0.1060
Cr: 0.5108 0.5000 0.4986
P: 0.1933 0.5000 0.2338
P: 0.3146 0.0000 0.7367
P: 0.6933 0.5000 0.8715
P: 0.8179 0.0000 0.3694

Peak list (8 most intense, 2θ from 5° to 70°, sorted by position)
- d 2.764, I 68
- d 2.446, I 38
- d 1.988, I 58
- d 1.966, I 25
- d 1.904, I 100
- d 1.844, I 30
- d 1.667, I 30
- d 1.563, I 25

=====

Computed X-ray powder pattern
Compound: MgSb2O4
Radiation: Cu Kα, 1.54184 Å
Structure: a cell relaxed with GGA-PBE
Kinematic intensities with the Lorentz-polarization factor, no thermal factor.

Structural model:
abc: 6.7013 6.7013 6.7013
angles: 60.00 60.00 60.00
Atoms (fractional coordinates):
Mg: 0.1250 0.1250 0.1250
Mg: 0.8750 0.8750 0.8750
Sb: 0.0000 0.5000 0.5000
Sb: 0.5000 0.0000 0.5000
Sb: 0.5000 0.5000 0.0000
Sb: 0.5000 0.5000 0.5000
O: 0.2509 0.2509 0.2509
O: 0.2509 0.2509 0.7472
O: 0.2509 0.7472 0.2509
O: 0.2528 0.7491 0.7491
O: 0.7472 0.2509 0.2509
O: 0.7491 0.2528 0.7491
O: 0.7491 0.7491 0.2528
O: 0.7491 0.7491 0.7491

Peak list (8 most intense, 2θ from 5° to 70°, sorted by position)
- d 5.472, I 91
- d 2.857, I 100
- d 2.736, I 46
- d 2.369, I 60
- d 2.174, I 25
- d 1.824, I 35
- d 1.675, I 54
- d 1.429, I 22

=====

Computed X-ray powder pattern
Compound: Bi2Te7Cl8
Radiation: Cu Kα, 1.54184 Å
Structure: a cell relaxed with GGA-PBE
Kinematic intensities with the Lorentz-polarization factor, no thermal factor.

Structural model:
abc: 5.5987 13.5531 15.5188
angles: 103.82 95.23 96.46
Atoms (fractional coordinates):
Bi: 0.0942 0.4082 0.1102
Bi: 0.2084 0.7406 0.2257
Bi: 0.7916 0.2594 0.7743
Bi: 0.9058 0.5918 0.8898
Te: 0.0583 0.6503 0.5466
Te: 0.1698 0.9568 0.6511
Te: 0.1883 0.0176 0.9371
Te: 0.2214 0.1636 0.4644
Te: 0.3543 0.4913 0.5683
Te: 0.4406 0.8529 0.9361
Te: 0.4673 0.8093 0.6663
Te: 0.5327 0.1907 0.3337
Te: 0.5594 0.1471 0.0639
Te: 0.6457 0.5087 0.4317
Te: 0.7786 0.8364 0.5356
Te: 0.8117 0.9824 0.0629
Te: 0.8302 0.0432 0.3489
Te: 0.9417 0.3497 0.4534
Cl: 0.0125 0.7572 0.8131
Cl: 0.0969 0.5505 0.2747
Cl: 0.1543 0.2615 0.9648
Cl: 0.1972 0.8472 0.3887
Cl: 0.2727 0.5767 0.0589
Cl: 0.3540 0.2754 0.7295
Cl: 0.3547 0.9186 0.1917
Cl: 0.4712 0.6033 0.8304
Cl: 0.5288 0.3967 0.1696
Cl: 0.6453 0.0814 0.8083
Cl: 0.6460 0.7246 0.2705
Cl: 0.7273 0.4233 0.9411
Cl: 0.8028 0.1528 0.6113
Cl: 0.8457 0.7385 0.0352
Cl: 0.9031 0.4495 0.7253
Cl: 0.9875 0.2428 0.1869

Peak list (8 most intense, 2θ from 5° to 70°, sorted by position)
- d 5.105, I 100
- d 4.493, I 54
- d 4.323, I 32
- d 3.672, I 29
- d 3.612, I 32
- d 2.786, I 36
- d 2.268, I 40
- d 2.199, I 36

=====

Computed X-ray powder pattern
Compound: Na3Pr5Cl18
Radiation: Cu Kα, 1.54184 Å
Structure: a cell relaxed with GGA-PBE
Kinematic intensities with the Lorentz-polarization factor, no thermal factor.

Structural model:
abc: 7.6012 7.6012 12.9816
angles: 90.00 90.00 120.00
Atoms (fractional coordinates):
Na: 0.0000 0.0000 0.0000
Na: 0.6667 0.3333 0.1417
Na: 0.6667 0.3333 0.8583
Pr: 0.0000 0.0000 0.3343
Pr: 0.0000 0.0000 0.6657
Pr: 0.3333 0.6667 0.1659
Pr: 0.3333 0.6667 0.5000
Pr: 0.3333 0.6667 0.8341
Cl: 0.0464 0.6135 0.0000
Cl: 0.0566 0.6366 0.3354
Cl: 0.0566 0.6366 0.6646
Cl: 0.2750 0.0209 0.1734
Cl: 0.2750 0.0209 0.8266
Cl: 0.2749 0.0277 0.5000
Cl: 0.3634 0.4200 0.3354
Cl: 0.3634 0.4200 0.6646
Cl: 0.3865 0.4328 0.0000
Cl: 0.5672 0.9536 0.0000
Cl: 0.5800 0.9434 0.3354
Cl: 0.5800 0.9434 0.6646
Cl: 0.7459 0.7250 0.1734
Cl: 0.7459 0.7250 0.8266
Cl: 0.7529 0.7251 0.5000
Cl: 0.9723 0.2471 0.5000
Cl: 0.9791 0.2541 0.1734
Cl: 0.9791 0.2541 0.8266

Peak list (8 most intense, 2θ from 5° to 70°, sorted by position)
- d 6.583, I 88
- d 3.801, I 45
- d 3.616, I 58
- d 2.856, I 35
- d 2.620, I 100
- d 2.194, I 40
- d 2.157, I 77
- d 1.426, I 37

=====

Computed X-ray powder pattern
Compound: NdH3CSO7
Radiation: Cu Kα, 1.54184 Å
Structure: a cell relaxed with GGA-PBE
Kinematic intensities with the Lorentz-polarization factor, no thermal factor.

Structural model:
abc: 7.0264 7.0264 11.9293
angles: 90.00 90.00 90.00
Atoms (fractional coordinates):
Nd: 0.1152 0.3717 0.0000
Nd: 0.3717 0.8848 0.2500
Nd: 0.6283 0.1152 0.7500
Nd: 0.8848 0.6283 0.5000
H: 0.0313 0.8676 0.9609
H: 0.1324 0.0313 0.7109
H: 0.1547 0.5964 0.7778
H: 0.3680 0.5398 0.8096
H: 0.4036 0.1547 0.5278
H: 0.4602 0.3680 0.5596
H: 0.5398 0.6320 0.0596
H: 0.5964 0.8453 0.0278
H: 0.6320 0.4602 0.3096
H: 0.8453 0.4036 0.2778
H: 0.8676 0.9687 0.2109
H: 0.9687 0.1324 0.4609
C: 0.1161 0.8700 0.0385
C: 0.1300 0.1161 0.7885
C: 0.8700 0.8839 0.2885
C: 0.8839 0.1300 0.5385
S: 0.2312 0.3877 0.3071
S: 0.3877 0.7688 0.5571
S: 0.6123 0.2312 0.0571
S: 0.7688 0.6123 0.8071
O: 0.0304 0.8326 0.3295
O: 0.1038 0.3776 0.2077
O: 0.1168 0.4323 0.4073
O: 0.1575 0.7140 0.0856
O: 0.1674 0.0304 0.0795
O: 0.2022 0.6752 0.5761
O: 0.2408 0.5663 0.8403
O: 0.2860 0.1575 0.8356
O: 0.3248 0.2022 0.3261
O: 0.3776 0.8962 0.4577
O: 0.3792 0.5391 0.2898
O: 0.4323 0.8832 0.6573
O: 0.4337 0.2408 0.5903
O: 0.4609 0.3792 0.0398
O: 0.5391 0.6208 0.5398
O: 0.5663 0.7592 0.0903
O: 0.5677 0.1168 0.1573
O: 0.6208 0.4609 0.7898
O: 0.6224 0.1038 0.9577
O: 0.6752 0.7978 0.8261
O: 0.7140 0.8425 0.3356
O: 0.7592 0.4337 0.3403
O: 0.7978 0.3248 0.0761
O: 0.8326 0.9696 0.5795
O: 0.8425 0.2860 0.5856
O: 0.8832 0.5677 0.9073
O: 0.8962 0.6224 0.7077
O: 0.9696 0.1674 0.8295

Peak list (8 most intense, 2θ from 5° to 70°, sorted by position)
- d 6.054, I 100
- d 4.968, I 33
- d 4.547, I 69
- d 3.370, I 71
- d 3.142, I 41
- d 2.633, I 40
- d 2.182, I 31
- d 2.163, I 36

=====

Computed X-ray powder pattern
Compound: Sm2FeSi3
Radiation: Cu Kα, 1.54184 Å
Structure: a cell relaxed with GGA-PBE
Kinematic intensities with the Lorentz-polarization factor, no thermal factor.

Structural model:
abc: 4.0164 4.0164 8.3958
angles: 90.00 90.00 120.00
Atoms (fractional coordinates):
Sm: 0.0000 0.0000 0.2433
Sm: 0.0000 0.0000 0.7567
Fe: 0.3333 0.6667 0.0000
Si: 0.3333 0.6667 0.5000
Si: 0.6667 0.3333 0.0000
Si: 0.6667 0.3333 0.5000

Peak list (8 most intense, 2θ from 5° to 70°, sorted by position)
- d 4.198, I 8
- d 3.478, I 37
- d 2.678, I 100
- d 2.099, I 11
- d 2.008, I 31
- d 1.797, I 11
- d 1.607, I 21
- d 1.451, I 21